For TiW4O12, DFT lattice parameters and positions (PBE+U) gives the theoretical X-ray powder pattern in this record (Cu Kα (weighted mean of Kα1 and Kα2)).
Lines closer than 0.1° are merged.

Structural model:
```
data_TiW4O12
_cell_length_a 6.599
_cell_length_b 6.599
_cell_length_c 6.599
_cell_angle_alpha 108.02
_cell_angle_beta 108.02
_cell_angle_gamma 112.42
_symmetry_space_group_name_H-M 'P 1'
_symmetry_Int_Tables_number 1
loop_
_symmetry_equiv_pos_as_xyz
'x,y,z'
loop_
_atom_site_label
_atom_site_type_symbol
_atom_site_fract_x
_atom_site_fract_y
_atom_site_fract_z
_atom_site_occupancy
Ti1 Ti 0.000 0.000 0.000 1
W1 W 0.000 0.000 0.500 1
W2 W 0.000 0.500 0.000 1
W3 W 0.500 0.000 0.000 1
W4 W 0.500 0.500 0.500 1
O1 O 0.054 0.828 0.226 1
O2 O 0.172 0.399 0.226 1
O3 O 0.172 0.946 0.774 1
O4 O 0.306 0.306 0.613 1
O5 O 0.306 0.694 0.000 1
O6 O 0.399 0.172 0.226 1
O7 O 0.601 0.828 0.774 1
O8 O 0.694 0.306 0.000 1
O9 O 0.694 0.694 0.387 1
O10 O 0.828 0.054 0.226 1
O11 O 0.828 0.601 0.774 1
O12 O 0.946 0.172 0.774 1
```

Principal peaks in the range 2θ = 15–90°, in order of rising 2θ:
| 2theta | intensity |
| --- | --- |
| 22.93 | 1000 |
| 24.25 | 386 |
| 32.66 | 361 |
| 33.62 | 745 |
| 41.09 | 275 |
| 58.90 | 345 |